For La6CoSn3, a structure optimized by DFT (PBE) gives the calculated PXRD pattern in this record (Cu Kα (λ = 1.5418 Å)).
Neutral-atom scattering factors, no anomalous dispersion.

Most intense lines, 2θ from 15° to 90°, by angle:
- (2 2 1), 2θ = 22.0°, I = 604
- (3 1 1), 2θ = 25.7°, I = 268
- (3 3 0), 2θ = 28.1°, I = 408
- (3 3 1), 2θ = 30.5°, I = 987
- (3 1 2), 2θ = 32.9°, I = 669
- (0 4 2), 2θ = 33.1°, I = 1000
- (3 5 0), 2θ = 36.7°, I = 340
- (3 1 3), 2θ = 42.5°, I = 365
- (6 0 0), 2θ = 44.9°, I = 271
- (6 4 2), 2θ = 56.9°, I = 319

Structure:
```
data_La6CoSn3
_cell_length_a 12.104
_cell_length_b 15.414
_cell_length_c 7.607
_cell_angle_alpha 90.00
_cell_angle_beta 90.00
_cell_angle_gamma 90.00
_symmetry_space_group_name_H-M 'C m c 21'
_symmetry_Int_Tables_number 36
loop_
_symmetry_equiv_pos_as_xyz
'x,y,z'
'-x,-y,z+1/2'
'-x,y,z'
'x,-y,z+1/2'
'x+1/2,y+1/2,z'
'-x+1/2,-y+1/2,z+1/2'
'-x+1/2,y+1/2,z'
'x+1/2,-y+1/2,z+1/2'
loop_
_atom_site_label
_atom_site_type_symbol
_atom_site_fract_x
_atom_site_fract_y
_atom_site_fract_z
La1 La 0.000 0.011 0.000
La2 La 0.000 0.226 0.552
La3 La 0.149 0.477 0.544
La4 La 0.154 0.236 0.098
Co1 Co 0.000 0.145 0.248
Sn1 Sn 0.000 0.370 0.850
Sn2 Sn 0.188 0.108 0.755
```